No. 1
For Li2PWO4F, a DFT-relaxed cell (GGA+U, the Materials Project) gives the simulated PXRD pattern in this record (CuKα).
No peak broadening, texture or thermal motion is included.

Structural model:
Unit cell a=5.5277 b=5.6252 c=7.8156 alpha=107.20 beta=104.32 gamma=97.40
Space group P1 (No. 1)
Unique sites:
Li  0.0000  0.0000  0.0000 x1
Li  0.0348  0.8873  0.6336 x1
Li  0.3592  0.3233  0.0050 x1
Li  0.8006  0.4330  0.3275 x1
P  0.2022  0.2155  0.3992 x1
P  0.8736  0.4896  0.9494 x1
W  0.5153  0.8466  0.6756 x1
W  0.5425  0.8570  0.1793 x1
O  0.1628  0.5841  0.0653 x1
O  0.2045  0.4969  0.5019 x1
O  0.2578  0.0613  0.5306 x1
O  0.3844  0.1947  0.2707 x1
O  0.7048  0.5160  0.0884 x1
O  0.8016  0.6559  0.8290 x1
O  0.8351  0.2004  0.8415 x1
O  0.9230  0.1047  0.2548 x1
F  0.2724  0.9874  0.8677 x1
F  0.7276  0.7160  0.4756 x1

Largest 12 diffraction maxima, low angle first, 5 to 70 degrees two-theta:
hkl 0 1 0, 5.236 Å, 16.93 deg, I = 100; hkl 1 -1 0, 4.187 Å, 21.22 deg, I = 27; hkl 0 1 -2, 3.562 Å, 25.00 deg, I = 65; hkl 1 0 -2, 3.468 Å, 25.69 deg, I = 35; hkl 1 1 0, 3.354 Å, 26.57 deg, I = 39; hkl 1 -1 2, 2.754 Å, 32.51 deg, I = 16; hkl -1 1 2, 2.672 Å, 33.54 deg, I = 16; hkl 1 0 2, 2.600 Å, 34.49 deg, I = 13; hkl 1 -2 0, 2.580 Å, 34.77 deg, I = 14; hkl 2 -1 0, 2.573 Å, 34.88 deg, I = 19; hkl 0 2 2, 1.835 Å, 49.68 deg, I = 16; hkl -2 2 2, 1.780 Å, 51.31 deg, I = 18

=====

No. 2
For Li2VSO4F3, a DFT-relaxed cell (GGA+U, the Materials Project) gives the simulated PXRD pattern in this record (CuKα).
No peak broadening, texture or thermal motion is included.

Structural model:
Unit cell a=7.0908 b=10.0418 c=7.8872 alpha=90.00 beta=90.89 gamma=90.00
Space group P2_1/c (No. 14)
Unique sites:
Li  0.2332  0.2238  0.3850 x4
Li  0.2596  0.7232  0.8932 x4
V  0.0000  0.0000  0.0000 x2
V  0.5000  0.0000  0.0000 x2
S  0.2461  0.0010  0.6664 x4
O  0.1169  0.0786  0.7828 x4
O  0.1444  0.6010  0.0677 x4
O  0.3424  0.0982  0.5611 x4
O  0.3842  0.5747  0.2820 x4
F  0.0264  0.6794  0.4180 x4
F  0.2488  0.5027  0.6168 x4
F  0.4723  0.1809  0.9220 x4

Largest 12 diffraction maxima, low angle first, 5 to 70 degrees two-theta:
hkl 0 1 1, 6.202 Å, 14.28 deg, I = 56; hkl 0 2 0, 5.021 Å, 17.66 deg, I = 100; hkl 1 1 -1, 4.697 Å, 18.90 deg, I = 38; hkl 1 1 1, 4.640 Å, 19.13 deg, I = 34; hkl 0 0 2, 3.943 Å, 22.55 deg, I = 14; hkl 2 1 -1, 3.094 Å, 28.86 deg, I = 32; hkl 2 1 1, 3.062 Å, 29.17 deg, I = 34; hkl 1 2 -2, 2.854 Å, 31.34 deg, I = 18; hkl 1 2 2, 2.829 Å, 31.63 deg, I = 18; hkl 2 0 -2, 2.657 Å, 33.74 deg, I = 10; hkl 0 5 1, 1.946 Å, 46.67 deg, I = 12; hkl 4 4 0, 1.448 Å, 64.34 deg, I = 9

=====

No. 3
For LiV2S2O8F6, a DFT-relaxed cell (GGA+U, the Materials Project) gives the simulated PXRD pattern in this record (CuKα).
No peak broadening, texture or thermal motion is included.

Structural model:
Unit cell a=7.9528 b=7.1815 c=12.6498 alpha=90.00 beta=125.99 gamma=90.00
Space group Pc (No. 7)
Unique sites:
Li  0.0000  0.1085  0.0000 x2
V  0.6295  0.2538  0.7106 x2
V  0.6427  0.2463  0.2213 x2
S  0.3112  0.4840  0.2213 x2
S  0.9894  0.0116  0.2349 x2
O  0.0008  0.0459  0.6296 x2
O  0.1399  0.3789  0.1140 x2
O  0.1658  0.1044  0.3448 x2
O  0.2964  0.4470  0.8211 x2
O  0.3722  0.3580  0.6672 x2
O  0.5120  0.3522  0.2891 x2
O  0.7939  0.1523  0.1656 x2
O  0.9171  0.1444  0.7802 x2
F  0.4148  0.2664  0.0595 x2
F  0.5292  0.0036  0.7097 x2
F  0.5591  0.2280  0.5513 x2
F  0.7376  0.4911  0.2204 x2
F  0.7516  0.2590  0.8865 x2
F  0.8510  0.1797  0.3854 x2

Largest 12 diffraction maxima, low angle first, 5 to 70 degrees two-theta:
hkl 1 0 0, 6.435 Å, 13.76 deg, I = 27; hkl 1 0 -2, 6.126 Å, 14.46 deg, I = 35; hkl 0 0 2, 5.118 Å, 17.33 deg, I = 100; hkl 1 1 0, 4.792 Å, 18.51 deg, I = 37; hkl 1 1 -2, 4.661 Å, 19.04 deg, I = 23; hkl 2 0 -2, 3.971 Å, 22.39 deg, I = 13; hkl 2 1 -2, 3.475 Å, 25.63 deg, I = 16; hkl 1 2 0, 3.136 Å, 28.47 deg, I = 30; hkl 1 2 -2, 3.098 Å, 28.82 deg, I = 24; hkl 2 1 0, 2.937 Å, 30.44 deg, I = 12; hkl 2 2 -2, 2.663 Å, 33.65 deg, I = 11; hkl 3 1 -1, 2.277 Å, 39.57 deg, I = 7

=====

Which formula does entry 1 have? Li2PWO4F